Record 1
For Ti2B2MoRu5, a DFT-relaxed cell (GGA-PBE, Alexandria) gives the theoretical powder diffractogram in this record (a wavelength of 1.5418 Å).
Kinematic intensities with the Lorentz-polarization factor, no thermal factor.

The 8 most intense peaks (2θ from 10° to 80°), by angle:
2θ/deg  d [Å]  intensity
34.70  2.585  27
36.85  2.439  40
39.87  2.261  59
40.61  2.222  30
42.96  2.105  100
43.41  2.084  47
46.30  1.961  37
79.35  1.207  32

Structural model:
a = 9.322 Å, b = 9.322 Å, c = 3.008 Å
α = 90.00°, β = 90.00°, γ = 90.00°
Sites, in units of the cell vectors:
1 Ti 0.176 0.324 0.000
2 Ti 0.324 0.824 0.000
3 Ti 0.676 0.176 0.000
4 Ti 0.824 0.676 0.000
5 B 0.122 0.622 0.000
6 B 0.378 0.122 0.000
7 B 0.622 0.878 0.000
8 B 0.878 0.378 0.000
9 Mo 0.000 0.000 0.000
10 Mo 0.500 0.500 0.000
11 Ru 0.000 0.500 0.500
12 Ru 0.074 0.784 0.500
13 Ru 0.216 0.074 0.500
14 Ru 0.284 0.574 0.500
15 Ru 0.426 0.284 0.500
16 Ru 0.500 0.000 0.500
17 Ru 0.574 0.716 0.500
18 Ru 0.716 0.426 0.500
19 Ru 0.784 0.926 0.500
20 Ru 0.926 0.216 0.500

Record 2
For CuPd8, a DFT-relaxed cell (GGA-PBE, Alexandria) gives the theoretical powder diffractogram in this record (a wavelength of 1.5418 Å).
Kinematic intensities with the Lorentz-polarization factor, no thermal factor.

The 7 most intense peaks (2θ from 10° to 80°), by angle:
2θ/deg  d [Å]  intensity
25.12  3.545  1
30.35  2.945  1
33.19  2.699  1
39.79  2.265  100
46.24  1.963  32
46.35  1.959  16
67.53  1.387  30

Structural model:
a = 6.207 Å, b = 6.207 Å, c = 6.207 Å
α = 95.72°, β = 95.72°, γ = 143.21°
Sites, in units of the cell vectors:
1 Cu 0.000 0.000 0.000
2 Pd 0.000 0.330 0.330
3 Pd 0.000 0.670 0.670
4 Pd 0.330 0.000 0.330
5 Pd 0.337 0.337 0.673
6 Pd 0.337 0.663 0.000
7 Pd 0.663 0.337 0.000
8 Pd 0.663 0.663 0.327
9 Pd 0.670 0.000 0.670